Starting from a DFT-relaxed cell (PBE, the Materials Project), the X-ray powder pattern of GdYO2 was computed for Cu Kα (weighted mean of Kα1 and Kα2).

Most intense lines, 10 to 90 degrees two-theta, in order of rising 2θ:
| Position (°2θ) | d [Å] | Rel. int. |
| --- | --- | --- |
| 27.19 | 3.280 | 48 |
| 29.22 | 3.057 | 100 |
| 31.56 | 2.835 | 94 |
| 35.16 | 2.552 | 31 |
| 45.00 | 2.014 | 31 |
| 50.28 | 1.815 | 38 |
| 50.87 | 1.795 | 32 |
| 58.09 | 1.588 | 35 |
| 60.58 | 1.528 | 15 |
| 78.63 | 1.217 | 14 |

Atomic structure:
Lattice parameters (Å, degrees): 3.6296 3.6296 13.1209 90.00 90.00 120.00
Space group P6_3/mmc (No. 194)
Inequivalent atoms, fractional coordinates:
Gd 0.3333 0.6667 0.2500 (multiplicity 2)
Y 0.0000 0.0000 0.0000 (multiplicity 2)
O 0.3333 0.6667 0.0800 (multiplicity 4)